(1)
Starting from a cell relaxed with PBE, the powder XRD pattern of K2PbO6 was computed for a wavelength of 1.5418 Å.
No peak broadening, texture or thermal motion is included.

Crystal structure
Lattice parameters (Å, degrees): 5.393 5.822 5.994 108.60 94.94 103.75
Positions (direct):
K: 0.191 0.296 0.055
K: 0.809 0.704 0.945
Pb: 0.500 0.000 0.500
O: 0.058 0.962 0.581
O: 0.366 0.798 0.153
O: 0.419 0.567 0.548
O: 0.581 0.433 0.452
O: 0.634 0.202 0.847
O: 0.942 0.038 0.419

Top 12 peaks for 2θ from 10° to 80°, sorted by position:
15.8°, I = 666, (0 0 1); 16.7°, I = 766, (0 1 0); 17.2°, I = 742, (1 0 0); 18.6°, I = 740, (0 1 -1); 21.3°, I = 802, (1 0 -1); 24.1°, I = 487, (1 -1 1); 26.9°, I = 355, (0 1 1); 32.0°, I = 1000, (0 2 -1); 34.1°, I = 383, (2 -1 0); 35.7°, I = 341, (2 0 -1); 41.5°, I = 392, (2 1 -1); 48.9°, I = 287, (1 0 -3)

(2)
Starting from a cell relaxed with PBE, the powder XRD pattern of KPbO3 was computed for a wavelength of 1.5418 Å.
No peak broadening, texture or thermal motion is included.

Crystal structure
Lattice parameters (Å, degrees): 4.361 4.361 4.361 90.00 90.00 90.00
Positions (direct):
K: 0.000 0.000 0.000
Pb: 0.500 0.500 0.500
O: 0.000 0.500 0.500
O: 0.500 0.000 0.500
O: 0.500 0.500 0.000

Top 12 peaks for 2θ from 10° to 80°, sorted by position:
20.4°, I = 716, (1 0 0); 29.0°, I = 1000, (1 1 0); 35.7°, I = 98, (1 1 1); 41.4°, I = 316, (2 0 0); 46.6°, I = 354, (2 1 0); 51.3°, I = 421, (2 1 1); 60.0°, I = 200, (2 2 0); 64.1°, I = 175, (3 0 0); 68.0°, I = 185, (3 1 0); 71.8°, I = 56, (3 1 1); 75.5°, I = 67, (2 2 2); 79.2°, I = 79, (3 2 0)

(3)
Starting from a cell relaxed with PBE, the powder XRD pattern of KPbO2 was computed for a wavelength of 1.5418 Å.
No peak broadening, texture or thermal motion is included.

Crystal structure
Lattice parameters (Å, degrees): 7.123 7.623 13.084 105.45 90.94 117.54
Positions (direct):
K: 0.012 0.260 0.265
K: 0.234 0.734 0.992
K: 0.264 0.764 0.508
K: 0.484 0.239 0.235
K: 0.516 0.761 0.765
K: 0.736 0.236 0.492
K: 0.766 0.266 0.008
K: 0.988 0.740 0.735
Pb: 0.013 0.753 0.254
Pb: 0.238 0.226 0.966
Pb: 0.264 0.274 0.533
Pb: 0.485 0.747 0.247
Pb: 0.515 0.253 0.753
Pb: 0.736 0.726 0.467
Pb: 0.762 0.774 0.034
Pb: 0.987 0.247 0.746
O: 0.076 0.939 0.145
O: 0.111 0.440 0.638
O: 0.145 0.557 0.157
O: 0.167 0.074 0.643
O: 0.335 0.426 0.856
O: 0.353 0.943 0.344
O: 0.392 0.060 0.861
O: 0.422 0.561 0.355
O: 0.578 0.439 0.645
O: 0.608 0.940 0.139
O: 0.647 0.057 0.656
O: 0.665 0.574 0.144
O: 0.833 0.926 0.357
O: 0.855 0.443 0.843
O: 0.889 0.560 0.362
O: 0.924 0.061 0.855

Top 12 peaks for 2θ from 10° to 80°, sorted by position:
13.4°, I = 899, (0 1 -1); 14.2°, I = 488, (1 -1 0); 17.4°, I = 846, (0 1 1); 18.7°, I = 309, (1 -1 2); 27.7°, I = 1000, (0 2 0); 28.7°, I = 526, (0 0 4); 29.9°, I = 655, (2 0 -2); 30.3°, I = 642, (2 -2 2); 33.3°, I = 914, (0 2 -4); 33.9°, I = 720, (-2 2 2); 34.2°, I = 667, (2 0 2); 48.0°, I = 403, (2 -4 2)